[1]
# Na6In5
Calculated powder diffraction line list, Cu Ka. Input: a PBE-relaxed structure.

Structural model:
Lattice parameters (Å, degrees): 8.1135 8.1135 8.9116 90.00 90.00 145.44
Fractional positions:
Na 0.0000 0.0000 0.1875
Na 0.0000 0.0000 0.8125
Na 0.3318 0.6682 0.2644
Na 0.3318 0.6682 0.7356
Na 0.6682 0.3318 0.2644
Na 0.6682 0.3318 0.7356
In 0.1184 0.8816 0.5000
In 0.1870 0.8130 0.0000
In 0.5000 0.5000 0.5000
In 0.8130 0.1870 0.0000
In 0.8816 0.1184 0.5000

Top 12 peaks for 10 to 90 degrees two-theta, low angle first:
| 2θ/deg | I/Imax |
| --- | --- |
| 15.15 | 65 |
| 19.93 | 46 |
| 25.27 | 28 |
| 32.28 | 18 |
| 32.39 | 100 |
| 35.89 | 62 |
| 37.31 | 24 |
| 40.49 | 28 |
| 42.65 | 13 |
| 46.34 | 22 |
| 48.07 | 13 |
| 63.20 | 13 |

[2]
# Na3NbIn3Se8
Calculated powder diffraction line list, Cu Ka. Input: a PBE-relaxed structure.

Structural model:
Lattice parameters (Å, degrees): 7.9872 7.9872 8.4935 118.07 118.07 59.96
Fractional positions:
Na 0.0000 0.0000 0.0000
Na 0.0000 0.5000 0.0000
Na 0.5000 0.0000 0.0000
Nb 0.0000 0.0000 0.5000
In 0.0000 0.5000 0.5000
In 0.5000 0.0000 0.5000
In 0.5000 0.5000 0.5000
Se 0.2283 0.2283 0.7128
Se 0.2287 0.7559 0.7127
Se 0.2441 0.7713 0.2873
Se 0.2589 0.2589 0.2796
Se 0.7411 0.7411 0.7204
Se 0.7559 0.2287 0.7127
Se 0.7713 0.2441 0.2873
Se 0.7717 0.7717 0.2872

Top 12 peaks for 10 to 90 degrees two-theta, low angle first:
| 2θ/deg | I/Imax |
| --- | --- |
| 12.41 | 60 |
| 26.11 | 13 |
| 30.79 | 100 |
| 39.35 | 19 |
| 42.75 | 34 |
| 45.43 | 34 |
| 47.28 | 12 |
| 54.10 | 11 |
| 55.89 | 17 |
| 64.14 | 10 |
| 70.87 | 11 |
| 74.78 | 14 |